Entry 1:
For TlGa2CoOs, a crystal structure in Alexandria, relaxed with PBE gives the simulated powder XRD pattern in this record (a wavelength of 1.5418 Å).
Intensities are scaled so that the largest is 100.

Structural model:
```
TlGa2CoOs
1.0
4.780 0.000 0.000
0.000 4.780 0.000
0.000 0.000 5.277
Tl Ga Co Os
1 2 1 1
direct
0.000 0.000 0.000
0.000 0.500 0.500
0.500 0.000 0.500
0.500 0.500 0.000
0.000 0.000 0.500
```

Peak list (10 most intense, 10 to 80 degrees two-theta, by intensity)
4.780 Å, 18.56 deg, I 100.0
2.390 Å, 37.64 deg, I 59.1
1.771 Å, 51.60 deg, I 47.7
2.639 Å, 33.98 deg, I 39.0
3.380 Å, 26.37 deg, I 38.0
2.310 Å, 38.99 deg, I 31.8
2.846 Å, 31.43 deg, I 27.0
2.138 Å, 42.28 deg, I 25.6
1.661 Å, 55.31 deg, I 23.9
1.423 Å, 65.60 deg, I 23.0



Entry 2:
For Pa3Ga7Co4, a crystal structure in Alexandria, relaxed with PBE gives the simulated powder XRD pattern in this record (a wavelength of 1.5418 Å).
Intensities are scaled so that the largest is 100.

Structural model:
```
Pa3Ga7Co4
1.0
7.334 -2.075 0.000
7.334 2.075 0.000
-4.523 0.000 7.653
Pa Ga Co
3 7 4
direct
0.000 0.000 0.000
0.306 0.306 0.297
0.694 0.694 0.703
0.000 0.000 0.500
0.155 0.155 0.426
0.321 0.321 0.973
0.491 0.491 0.714
0.509 0.509 0.286
0.679 0.679 0.027
0.845 0.845 0.574
0.107 0.107 0.857
0.328 0.328 0.713
0.672 0.672 0.287
0.893 0.893 0.143
```

Peak list (10 most intense, 10 to 80 degrees two-theta, by intensity)
2.551 Å, 35.18 deg, I 100.0
2.371 Å, 37.94 deg, I 67.4
2.075 Å, 43.62 deg, I 48.0
2.955 Å, 30.24 deg, I 47.1
2.401 Å, 37.45 deg, I 44.6
3.756 Å, 23.69 deg, I 41.2
2.476 Å, 36.29 deg, I 25.5
2.295 Å, 39.26 deg, I 22.9
2.105 Å, 42.98 deg, I 22.9
2.208 Å, 40.86 deg, I 21.4



Entry 3:
For Pa3Ga5Co, a crystal structure in Alexandria, relaxed with PBE gives the simulated powder XRD pattern in this record (a wavelength of 1.5418 Å).
Intensities are scaled so that the largest is 100.

Structural model:
```
Pa3Ga5Co
1.0
6.793 0.000 0.000
-3.397 5.883 0.000
0.000 0.000 4.342
Pa Ga Co
3 5 1
direct
0.000 0.400 0.000
0.400 0.000 0.000
0.600 0.600 0.000
0.000 0.767 0.500
0.233 0.233 0.500
0.333 0.667 0.500
0.667 0.333 0.500
0.767 0.000 0.500
0.000 0.000 0.000
```

Peak list (10 most intense, 10 to 80 degrees two-theta, by intensity)
2.675 Å, 33.49 deg, I 100.0
2.435 Å, 36.91 deg, I 52.3
2.224 Å, 40.57 deg, I 28.2
3.397 Å, 26.24 deg, I 27.3
1.527 Å, 60.62 deg, I 24.4
2.171 Å, 41.60 deg, I 23.7
1.553 Å, 59.51 deg, I 18.4
4.342 Å, 20.45 deg, I 15.7
1.961 Å, 46.30 deg, I 15.5
1.289 Å, 73.47 deg, I 14.0



Entry 4:
For Ga4Co3Pd, a crystal structure in Alexandria, relaxed with PBE gives the simulated powder XRD pattern in this record (a wavelength of 1.5418 Å).
Intensities are scaled so that the largest is 100.

Structural model:
```
Ga4Co3Pd
1.0
2.973 0.000 0.000
0.000 4.156 0.000
0.000 0.000 8.290
Ga Co Pd
4 3 1
direct
0.000 0.000 0.000
0.000 0.000 0.500
0.000 0.500 0.235
0.000 0.500 0.765
0.500 0.000 0.249
0.500 0.000 0.751
0.500 0.500 0.000
0.500 0.500 0.500
```

Peak list (10 most intense, 10 to 80 degrees two-theta, by intensity)
2.088 Å, 43.33 deg, I 100.0
2.078 Å, 43.56 deg, I 24.8
2.072 Å, 43.68 deg, I 23.8
1.208 Å, 79.28 deg, I 15.4
1.202 Å, 79.82 deg, I 15.3
1.467 Å, 63.39 deg, I 14.9
1.200 Å, 79.98 deg, I 14.1
1.486 Å, 62.49 deg, I 8.1
8.290 Å, 10.67 deg, I 2.2
4.150 Å, 21.41 deg, I 2.1



Entry 5:
For Pm2Ga3Co4, a crystal structure in Alexandria, relaxed with PBE gives the simulated powder XRD pattern in this record (a wavelength of 1.5418 Å).
Intensities are scaled so that the largest is 100.

Structural model:
```
Pm2Ga3Co4
1.0
2.741 -7.666 0.000
2.741 7.666 0.000
0.000 0.000 6.877
Pm Ga Co
4 6 8
direct
0.105 0.895 0.916
0.395 0.605 0.416
0.605 0.395 0.584
0.895 0.105 0.084
0.000 0.000 0.500
0.015 0.485 0.750
0.485 0.015 0.250
0.500 0.500 0.000
0.515 0.985 0.750
0.985 0.515 0.250
0.170 0.830 0.503
0.175 0.325 0.750
0.325 0.175 0.250
0.330 0.670 0.003
0.670 0.330 0.997
0.675 0.825 0.750
0.825 0.675 0.250
0.830 0.170 0.497
```

Peak list (10 most intense, 10 to 80 degrees two-theta, by intensity)
2.494 Å, 36.01 deg, I 100.0
2.143 Å, 42.16 deg, I 76.2
2.416 Å, 37.21 deg, I 43.6
2.196 Å, 41.10 deg, I 38.4
2.531 Å, 35.47 deg, I 36.8
2.230 Å, 40.46 deg, I 26.0
2.558 Å, 35.08 deg, I 24.7
2.862 Å, 31.26 deg, I 21.7
1.530 Å, 60.49 deg, I 21.6
2.051 Å, 44.16 deg, I 20.2



Entry 6:
For Pm3Ga4Co2, a crystal structure in Alexandria, relaxed with PBE gives the simulated powder XRD pattern in this record (a wavelength of 1.5418 Å).
Intensities are scaled so that the largest is 100.

Structural model:
```
Pm3Ga4Co2
1.0
5.256 -2.191 0.000
5.256 2.191 0.000
-1.815 0.000 7.951
Pm Ga Co
3 4 2
direct
0.000 0.000 0.000
0.383 0.383 0.305
0.617 0.617 0.695
0.107 0.107 0.407
0.283 0.283 0.913
0.717 0.717 0.087
0.893 0.893 0.593
0.309 0.309 0.626
0.691 0.691 0.374
```

Peak list (10 most intense, 10 to 80 degrees two-theta, by intensity)
2.697 Å, 33.21 deg, I 100.0
2.714 Å, 33.01 deg, I 66.8
2.191 Å, 41.20 deg, I 41.4
2.081 Å, 43.49 deg, I 26.6
2.602 Å, 34.46 deg, I 25.8
2.650 Å, 33.82 deg, I 24.7
2.294 Å, 39.27 deg, I 22.9
3.728 Å, 23.87 deg, I 20.3
1.689 Å, 54.32 deg, I 16.1
1.357 Å, 69.21 deg, I 14.5



Entry 7:
For PmGaCo3, a crystal structure in Alexandria, relaxed with PBE gives the simulated powder XRD pattern in this record (a wavelength of 1.5418 Å).
Intensities are scaled so that the largest is 100.

Structural model:
```
PmGaCo3
1.0
-2.355 4.189 4.216
2.355 -4.189 4.216
2.355 4.189 -4.216
Pm Ga Co
2 2 6
direct
0.302 0.052 0.250
0.698 0.948 0.750
0.000 0.500 0.500
0.500 0.500 0.000
0.064 0.314 0.750
0.234 0.000 0.734
0.234 0.500 0.234
0.766 0.000 0.266
0.766 0.500 0.766
0.936 0.686 0.250
```

Peak list (10 most intense, 10 to 80 degrees two-theta, by intensity)
2.937 Å, 30.43 deg, I 100.0
2.093 Å, 43.23 deg, I 60.2
2.055 Å, 44.07 deg, I 46.7
2.665 Å, 33.63 deg, I 17.7
1.467 Å, 63.39 deg, I 15.0
2.972 Å, 30.07 deg, I 14.4
2.087 Å, 43.35 deg, I 12.6
1.449 Å, 64.30 deg, I 11.6
2.108 Å, 42.90 deg, I 9.9
1.303 Å, 72.58 deg, I 9.2



Entry 8:
For Pm6Ga3Co, a crystal structure in Alexandria, relaxed with PBE gives the simulated powder XRD pattern in this record (a wavelength of 1.5418 Å).
Intensities are scaled so that the largest is 100.

Structural model:
```
Pm6Ga3Co
1.0
5.956 3.439 4.576
-5.956 3.439 4.576
0.000 -6.877 4.576
Pm Ga Co
12 6 2
direct
0.048 0.924 0.687
0.076 0.313 0.952
0.187 0.424 0.548
0.313 0.952 0.076
0.424 0.548 0.187
0.452 0.813 0.576
0.548 0.187 0.424
0.576 0.452 0.813
0.687 0.048 0.924
0.813 0.576 0.452
0.924 0.687 0.048
0.952 0.076 0.313
0.147 0.750 0.353
0.250 0.647 0.853
0.353 0.147 0.750
0.647 0.853 0.250
0.750 0.353 0.147
0.853 0.250 0.647
0.000 0.000 0.000
0.500 0.500 0.500
```

Peak list (10 most intense, 10 to 80 degrees two-theta, by intensity)
2.801 Å, 31.95 deg, I 100.0
2.496 Å, 35.98 deg, I 98.9
3.256 Å, 27.39 deg, I 58.2
2.576 Å, 34.83 deg, I 51.7
2.641 Å, 33.95 deg, I 43.7
3.751 Å, 23.72 deg, I 29.5
1.836 Å, 49.65 deg, I 21.6
5.715 Å, 15.51 deg, I 20.6
2.245 Å, 40.17 deg, I 20.3
2.978 Å, 30.01 deg, I 17.4



Entry 9:
For PmGa5Co2, a crystal structure in Alexandria, relaxed with PBE gives the simulated powder XRD pattern in this record (a wavelength of 1.5418 Å).
Intensities are scaled so that the largest is 100.

Structural model:
```
PmGa5Co2
1.0
-1.988 3.441 4.905
1.988 -3.441 4.905
1.988 3.441 -4.905
Pm Ga Co
1 5 2
direct
0.000 0.000 0.000
0.147 0.343 0.804
0.460 0.657 0.804
0.500 0.000 0.500
0.540 0.343 0.196
0.853 0.657 0.196
0.267 0.767 0.500
0.733 0.233 0.500
```

Peak list (10 most intense, 10 to 80 degrees two-theta, by intensity)
2.515 Å, 35.70 deg, I 100.0
2.526 Å, 35.54 deg, I 85.5
1.988 Å, 45.63 deg, I 55.5
1.997 Å, 45.41 deg, I 51.0
2.818 Å, 31.76 deg, I 44.5
1.409 Å, 66.34 deg, I 33.9
2.954 Å, 30.26 deg, I 26.1
1.842 Å, 49.49 deg, I 25.2
1.567 Å, 58.96 deg, I 19.3
1.228 Å, 77.78 deg, I 18.4



Entry 10:
For Pm6Ga2Co, a crystal structure in Alexandria, relaxed with PBE gives the simulated powder XRD pattern in this record (a wavelength of 1.5418 Å).
Intensities are scaled so that the largest is 100.

Structural model:
```
Pm6Ga2Co
1.0
4.384 0.000 0.000
0.000 6.896 3.989
0.000 -6.896 3.989
Pm Ga Co
6 2 1
direct
0.000 0.000 0.000
0.000 0.514 0.757
0.000 0.757 0.514
0.500 0.175 0.757
0.500 0.338 0.338
0.500 0.757 0.175
0.000 0.090 0.424
0.000 0.424 0.090
0.500 0.758 0.758
```

Peak list (10 most intense, 10 to 80 degrees two-theta, by intensity)
2.949 Å, 30.31 deg, I 100.0
2.712 Å, 33.03 deg, I 83.8
2.609 Å, 34.38 deg, I 68.7
1.678 Å, 54.69 deg, I 36.6
2.192 Å, 41.19 deg, I 26.9
1.489 Å, 62.35 deg, I 25.7
1.754 Å, 52.13 deg, I 24.9
2.242 Å, 40.23 deg, I 19.7
2.301 Å, 39.15 deg, I 16.2
1.587 Å, 58.13 deg, I 10.8



Entry 11:
For Pm4Ga12Co, a crystal structure in Alexandria, relaxed with PBE gives the simulated powder XRD pattern in this record (a wavelength of 1.5418 Å).
Intensities are scaled so that the largest is 100.

Structural model:
```
Pm4Ga12Co
1.0
-4.354 4.354 4.354
4.354 -4.354 4.354
4.354 4.354 -4.354
Pm Ga Co
4 12 1
direct
0.000 0.000 0.500
0.000 0.500 0.000
0.500 0.000 0.000
0.500 0.500 0.500
0.000 0.282 0.282
0.000 0.718 0.718
0.250 0.500 0.750
0.250 0.750 0.500
0.282 0.000 0.282
0.282 0.282 0.000
0.500 0.250 0.750
0.500 0.750 0.250
0.718 0.000 0.718
0.718 0.718 0.000
0.750 0.250 0.500
0.750 0.500 0.250
0.000 0.000 0.000
```

Peak list (10 most intense, 10 to 80 degrees two-theta, by intensity)
2.514 Å, 35.72 deg, I 100.0
2.177 Å, 41.48 deg, I 57.9
1.539 Å, 60.11 deg, I 35.6
1.313 Å, 71.93 deg, I 33.3
3.079 Å, 29.00 deg, I 19.8
1.257 Å, 75.67 deg, I 11.1
4.354 Å, 20.40 deg, I 7.8
1.777 Å, 51.41 deg, I 6.4
1.947 Å, 46.65 deg, I 5.4
1.377 Å, 68.10 deg, I 5.2



Entry 12:
For PmPrGaCo, a crystal structure in Alexandria, relaxed with PBE gives the simulated powder XRD pattern in this record (a wavelength of 1.5418 Å).
Intensities are scaled so that the largest is 100.

Structural model:
```
PmPrGaCo
1.0
4.187 0.000 0.000
0.000 2.148 5.305
0.000 -2.148 5.305
Pm Pr Ga Co
1 1 1 1
direct
0.000 0.000 0.000
0.500 0.715 0.715
0.000 0.301 0.301
0.500 0.428 0.428
```

Peak list (10 most intense, 10 to 80 degrees two-theta, by intensity)
2.886 Å, 30.99 deg, I 100.0
2.731 Å, 32.80 deg, I 53.6
2.287 Å, 39.39 deg, I 42.9
3.287 Å, 27.13 deg, I 31.4
2.148 Å, 42.06 deg, I 25.2
1.661 Å, 55.29 deg, I 24.1
2.094 Å, 43.21 deg, I 23.3
2.241 Å, 40.25 deg, I 21.1
2.653 Å, 33.79 deg, I 17.7
1.499 Å, 61.88 deg, I 15.7



Entry 13:
For Pr4GaCo2, a crystal structure in Alexandria, relaxed with PBE gives the simulated powder XRD pattern in this record (a wavelength of 1.5418 Å).
Intensities are scaled so that the largest is 100.

Structural model:
```
Pr4GaCo2
1.0
2.020 -5.276 0.000
2.020 5.276 0.000
0.000 0.000 19.044
Pr Ga Co
8 2 4
direct
0.000 0.000 0.000
0.000 0.000 0.500
0.288 0.712 0.630
0.288 0.712 0.870
0.429 0.571 0.250
0.571 0.429 0.750
0.712 0.288 0.130
0.712 0.288 0.370
0.147 0.853 0.250
0.853 0.147 0.750
0.282 0.718 0.019
0.282 0.718 0.481
0.718 0.282 0.519
0.718 0.282 0.981
```

Peak list (10 most intense, 10 to 80 degrees two-theta, by intensity)
2.680 Å, 33.43 deg, I 100.0
3.535 Å, 25.20 deg, I 78.6
3.243 Å, 27.50 deg, I 63.5
2.380 Å, 37.79 deg, I 53.0
2.627 Å, 34.12 deg, I 52.8
3.508 Å, 25.39 deg, I 51.2
2.555 Å, 35.12 deg, I 47.3
2.020 Å, 44.87 deg, I 38.2
1.215 Å, 78.80 deg, I 33.2
2.613 Å, 34.32 deg, I 31.6